Record 1
This entry pairs a crystal structure of Nd2TmMg3 with its calculated powder diffractogram. Radiation: Cu Kα X-rays. Structure: a structure optimized by DFT (PBE).

Principal peaks in the range 2θ from 10° to 80°, by angle:
h k l	d/Å	Rel. int.
0 0 3	3.862	31
1 0 0	3.830	61
1 0 3	2.719	100
1 1 0	2.708	50
1 1 3	2.217	29
2 0 0	1.915	18
2 1 0	1.714	26
1 1 6	1.572	18
2 1 3	1.566	37
3 1 0	1.212	16

Structural model:
a b c (Å): 3.8295 3.8295 11.5861
angles (deg): 90.00 90.00 90.00
Space group P4/mmm (No. 123)
Asymmetric unit:
Nd (0.0000, 0.0000, 0.1720) [2 per cell]
Tm (0.0000, 0.0000, 0.5000) [1 per cell]
Mg (0.5000, 0.5000, 0.0000) [1 per cell]
Mg (0.5000, 0.5000, 0.3438) [2 per cell]


Record 2
This entry pairs a crystal structure of Nd2Tm2Mg3 with its calculated powder diffractogram. Radiation: Cu Kα X-rays. Structure: a structure optimized by DFT (PBE).

Principal peaks in the range 2θ from 10° to 80°, by angle:
h k l	d/Å	Rel. int.
0 0 1	8.525	69
2 0 -1	6.464	35
4 0 0	3.079	76
1 1 1	3.043	100
2 0 2	2.964	34
0 0 3	2.842	45
1 1 -2	2.829	64
3 1 -1	2.791	96
4 0 -3	2.751	62
1 1 2	2.520	38

Structural model:
a b c (Å): 13.6066 3.5452 9.4194
angles (deg): 90.00 115.18 90.00
Space group C2/m (No. 12)
Asymmetric unit:
Nd (0.1270, 0.0000, 0.3101) [4 per cell]
Tm (0.1143, 0.5000, 0.9620) [4 per cell]
Mg (0.0000, 0.5000, 0.5000) [2 per cell]
Mg (0.1704, 0.0000, 0.7153) [4 per cell]


Record 3
This entry pairs a crystal structure of Nd12Tm7Mg with its calculated powder diffractogram. Radiation: Cu Kα X-rays. Structure: a structure optimized by DFT (PBE).

Principal peaks in the range 2θ from 10° to 80°, by angle:
h k l	d/Å	Rel. int.
1 0 4	3.073	44
4 -1 2	2.875	53
0 3 3	2.862	82
4 0 1	2.832	100
0 4 2	2.643	29
5 -2 1	2.609	16
3 0 6	1.862	22
4 4 0	1.677	16
7 -3 4	1.638	25
0 7 2	1.606	17

Structural model:
a b c (Å): 13.4144 13.4144 12.7462
angles (deg): 90.00 90.00 120.00
Space group R-3 (No. 148, hexagonal axes)
Asymmetric unit:
Nd (0.0004, 0.2619, 0.0001) [18 per cell]
Nd (0.0879, 0.1771, 0.7635) [18 per cell]
Tm (0.0000, 0.0000, 0.0000) [3 per cell]
Tm (0.0504, 0.5253, 0.1176) [18 per cell]
Mg (0.0000, 0.0000, 0.5000) [3 per cell]